Theoretical powder diffractogram
Compound: K2CoP2H6O8
Radiation: Cu Kα, 1.54184 Å
Structure: a structure optimized by DFT (GGA+U)
Lines closer than 0.1° are merged.

Crystal structure
Unit cell a=6.954 b=6.954 c=7.468 alpha=112.87 beta=112.87 gamma=45.39
Element x y z (fractional)
K  0.165  0.165  0.285
K  0.835  0.835  0.715
Co  0.500  0.500  0.500
P  0.145  0.145  0.739
P  0.855  0.855  0.261
H  0.262  0.262  0.880
H  0.322  0.621  0.156
H  0.379  0.678  0.844
H  0.621  0.322  0.156
H  0.678  0.379  0.844
H  0.738  0.738  0.120
O  0.073  0.073  0.860
O  0.104  0.630  0.385
O  0.370  0.896  0.615
O  0.483  0.483  0.780
O  0.517  0.517  0.220
O  0.630  0.104  0.385
O  0.896  0.370  0.615
O  0.927  0.927  0.140

Most intense lines, 2θ = 10–90°, in order of falling intensity:
| d/Å | I (rel.) |
| --- | --- |
| 3.144 | 100 |
| 6.773 | 60 |
| 3.044 | 36 |
| 5.777 | 27 |
| 2.683 | 25 |
| 2.539 | 19 |